Diffraction record for NaCdNi2F6. The PXRD pattern is calculated, not measured: it uses the GGA+U geometry in Alexandria and Cu Kα X-rays.

Structure:
```
10
Lattice="5.627 0.000 0.000 -2.790 4.894 0.000 -0.074 -3.219 4.626" Properties=species:S:1:pos:R:3 pbc="T T T"
Na 0.000 0.000 0.000
Cd -0.105 3.149 2.329
Ni -0.098 -0.062 3.495
Ni 2.730 1.561 1.166
F -2.680 3.005 2.596
F -1.180 2.141 0.221
F 1.027 0.843 2.048
F -0.423 1.716 4.451
F 1.653 2.862 0.007
F 3.888 0.375 2.359
```

Main lines, low angle first (2θ from 5° to 70°):
hkl 0 0 1, 19.21°, intensity 314
hkl 1 0 0, 19.29°, intensity 326
hkl -1 1 1, 31.43°, intensity 325
hkl 1 0 1, 31.68°, intensity 582
hkl 2 -1 0, 31.78°, intensity 1000
hkl 0 2 0, 45.14°, intensity 282
hkl 2 0 -2, 45.25°, intensity 274
hkl 2 1 0, 56.41°, intensity 240